The following is a simulated powder X-ray diffraction pattern of TiCo3O8. It was derived from a DFT-relaxed cell (GGA+U, the Materials Project), using Cu Ka.

abc: 5.632 5.632 8.942
angles: 90.00 90.00 120.00
Fractional positions:
Ti1 0.333 0.667 0.000
Ti2 0.667 0.333 0.500
Co1 0.168 0.336 0.717
Co2 0.168 0.832 0.717
Co3 0.336 0.168 0.217
Co4 0.664 0.832 0.717
Co5 0.832 0.168 0.217
Co6 0.832 0.664 0.217
O1 0.000 0.000 0.325
O2 0.000 0.000 0.825
O3 0.039 0.519 0.834
O4 0.163 0.327 0.107
O5 0.163 0.837 0.107
O6 0.327 0.163 0.607
O7 0.333 0.667 0.606
O8 0.481 0.519 0.834
O9 0.481 0.961 0.834
O10 0.519 0.039 0.334
O11 0.519 0.481 0.334
O12 0.667 0.333 0.106
O13 0.673 0.837 0.107
O14 0.837 0.163 0.607
O15 0.837 0.673 0.607
O16 0.961 0.481 0.334

Most intense lines, 10 to 90 degrees two-theta, sorted by position:
2θ (°)  I (rel.)  index
19.86  100  0 0 2
20.74  98  1 0 1
27.05  30  1 0 2
35.29  30  1 0 3
37.75  44  1 1 2
38.25  63  2 0 1
42.21  44  2 0 2
48.21  64  2 0 3
55.78  22  2 0 4
58.90  18  2 1 3
64.63  44  2 0 5
66.39  38  2 2 0